Record 1
Starting from a structure optimized by DFT (PBE), the powder diffractogram of Mg14SbC was simulated for copper Kα.
Lines closer than 0.1° are merged.

Structure:
Cell lengths 9.350, 7.220, 10.701 Å; angles 90.00, 90.00, 90.00 degrees
Space group Amm2 (No. 38)
Asymmetric unit:
1 Mg 0.000 0.000 0.000
2 Mg 0.000 0.000 0.497
3 Mg 0.000 0.230 0.241
4 Mg 0.236 0.000 0.811
5 Mg 0.270 0.000 0.314
6 Mg 0.280 0.217 0.557
7 Mg 0.500 0.233 0.781
8 Sb 0.500 0.000 0.019
9 C 0.500 0.000 0.377

Largest 10 diffraction maxima, most intense first, 5° ≤ 2θ ≤ 70°:
35.62°, intensity 100, (2 2 2)
17.59°, intensity 34, (1 1 1)
9.46°, intensity 32, (1 0 0)
24.16°, intensity 27, (2 1 1)
33.50°, intensity 22, (0 0 4)
38.51°, intensity 22, (4 0 0)
14.80°, intensity 20, (0 1 1)
29.52°, intensity 17, (1 1 3)
38.78°, intensity 13, (2 0 4)
32.39°, intensity 13, (3 1 1)

***

Record 2
Starting from a structure optimized by DFT (PBE), the powder diffractogram of Mg14SbC was simulated for copper Kα.
Lines closer than 0.1° are merged.

Structure:
Cell lengths 6.2818, 6.2818, 9.9768 Å; angles 90.00, 90.00, 120.00 degrees
Space group P-6m2 (No. 187)
Asymmetric unit:
1 Mg 0.0000 0.0000 0.2498
2 Mg 0.0076 0.5038 0.2300
3 Mg 0.3251 0.1625 0.0000
4 Mg 0.3361 0.1680 0.5000
5 Sb 0.3333 0.6667 0.5000
6 C 0.3333 0.6667 0.0000

Largest 10 diffraction maxima, most intense first, 5° ≤ 2θ ≤ 70°:
37.67°, intensity 100, (2 0 2)
18.58°, intensity 37, (1 0 1)
32.93°, intensity 27, (2 0 0)
36.01°, intensity 24, (0 0 4)
8.86°, intensity 21, (0 0 1)
65.82°, intensity 19, (2 0 6)
58.80°, intensity 17, (2 2 0)
16.29°, intensity 16, (1 0 0)
49.59°, intensity 15, (2 0 4)
29.82°, intensity 14, (1 1 1)

***

Record 3
Starting from a structure optimized by DFT (PBE), the powder diffractogram of Mg14SiC was simulated for copper Kα.
Lines closer than 0.1° are merged.

Structure:
Cell lengths 8.474, 7.790, 10.093 Å; angles 90.00, 90.00, 90.00 degrees
Space group Amm2 (No. 38)
Asymmetric unit:
1 Mg 0.000 0.000 0.000
2 Mg 0.000 0.000 0.478
3 Mg 0.000 0.208 0.738
4 Mg 0.226 0.000 0.235
5 Mg 0.295 0.000 0.794
6 Mg 0.316 0.189 0.513
7 Mg 0.500 0.224 0.246
8 Si 0.500 0.000 0.028
9 C 0.500 0.000 0.638

Largest 10 diffraction maxima, most intense first, 5° ≤ 2θ ≤ 70°:
36.02°, intensity 100, (2 2 2)
35.58°, intensity 27, (0 0 4)
43.43°, intensity 10, (3 1 3)
42.68°, intensity 9, (4 0 0)
35.70°, intensity 9, (0 3 1)
37.30°, intensity 9, (1 3 1)
34.94°, intensity 9, (3 1 1)
64.19°, intensity 9, (2 2 6)
10.44°, intensity 8, (1 0 0)
46.64°, intensity 8, (0 4 0)

***

Record 4
Starting from a structure optimized by DFT (PBE), the powder diffractogram of Mg14SiC was simulated for copper Kα.
Lines closer than 0.1° are merged.

Structure:
Cell lengths 6.2061, 6.2061, 9.8263 Å; angles 90.00, 90.00, 120.00 degrees
Space group P-6m2 (No. 187)
Asymmetric unit:
1 Mg 0.0000 0.0000 0.2488
2 Mg 0.0128 0.5064 0.2377
3 Mg 0.3290 0.1645 0.0000
4 Mg 0.3355 0.1677 0.5000
5 Si 0.3333 0.6667 0.5000
6 C 0.3333 0.6667 0.0000

Largest 10 diffraction maxima, most intense first, 5° ≤ 2θ ≤ 70°:
38.17°, intensity 100, (2 0 2)
33.34°, intensity 25, (2 0 0)
36.58°, intensity 25, (0 0 4)
59.59°, intensity 17, (2 2 0)
66.91°, intensity 16, (2 0 6)
50.32°, intensity 14, (2 0 4)
18.82°, intensity 1, (1 0 1)
58.15°, intensity 1, (2 0 5)
27.23°, intensity 1, (0 0 3)
32.00°, intensity 1, (1 0 3)